# Nd8Ho3Th
Calculated powder diffractogram, Cu Kα, 1.54184 Å. Input: DFT lattice parameters and positions (PBE).
Intensities are scaled so that the largest is 100.

Cell and atoms:
```
Nd8Ho3Th
1.0
4.9562 -6.7546 0.0000
4.9562 6.7546 0.0000
-1.6383 0.0000 6.1606
Nd Ho Th
8 3 1
direct
0.0339 0.3358 0.9566 Nd
0.0755 0.0755 0.3033 Nd
0.3775 0.4709 0.6965 Nd
0.4200 0.2111 0.0446 Nd
0.5291 0.6225 0.3035 Nd
0.6642 0.9661 0.0434 Nd
0.7889 0.5800 0.9554 Nd
0.9245 0.9245 0.6967 Nd
0.0548 0.6019 0.4378 Ho
0.3981 0.9452 0.5622 Ho
0.7277 0.2723 0.5000 Ho
0.2267 0.7733 0.0000 Th
```

Main lines, by angle (2θ from 10° to 80°):
- 2θ 27.5, intensity 53.7
- 2θ 28.8, intensity 100.0
- 2θ 29.5, intensity 54.1
- 2θ 30.2, intensity 79.9
- 2θ 31.9, intensity 69.2
- 2θ 32.4, intensity 45.0
- 2θ 33.0, intensity 51.4
- 2θ 33.6, intensity 42.7
- 2θ 34.5, intensity 65.4
- 2θ 35.5, intensity 46.5



# RbHgSb2Pb2
Calculated powder diffractogram, Cu Kα, 1.54184 Å. Input: DFT lattice parameters and positions (PBE).
Intensities are scaled so that the largest is 100.

Cell and atoms:
```
RbHgSb2Pb2
1.0
7.1949 0.0000 0.0000
0.0000 13.7021 0.0000
0.0000 0.0000 4.6944
Rb Hg Sb Pb
2 2 4 4
direct
0.0000 0.0000 0.0000 Rb
0.5000 0.5000 0.5000 Rb
0.0000 0.5000 0.0000 Hg
0.5000 0.0000 0.5000 Hg
0.2263 0.1707 0.5000 Sb
0.2737 0.6707 0.0000 Sb
0.7263 0.3293 0.0000 Sb
0.7737 0.8293 0.5000 Sb
0.2142 0.8058 0.5000 Pb
0.2858 0.3058 0.0000 Pb
0.7142 0.6942 0.0000 Pb
0.7858 0.1942 0.5000 Pb
```

Main lines, by angle (2θ from 10° to 80°):
- 2θ 20.0, intensity 62.9
- 2θ 26.1, intensity 69.8
- 2θ 27.2, intensity 52.2
- 2θ 28.0, intensity 100.0
- 2θ 37.1, intensity 87.9
- 2θ 38.0, intensity 47.1
- 2θ 38.3, intensity 40.1
- 2θ 39.5, intensity 22.6
- 2θ 42.3, intensity 29.0
- 2θ 48.2, intensity 47.3



# Ce2ThPt9
Calculated powder diffractogram, Cu Kα, 1.54184 Å. Input: DFT lattice parameters and positions (PBE).
Intensities are scaled so that the largest is 100.

Cell and atoms:
```
Ce2ThPt9
1.0
2.7144 1.5672 9.0071
-2.7144 1.5672 9.0071
0.0000 -3.1343 9.0071
Ce Th Pt
2 1 9
direct
0.1397 0.1397 0.1397 Ce
0.8603 0.8603 0.8603 Ce
0.0000 0.0000 0.0000 Th
0.0823 0.5863 0.5863 Pt
0.3329 0.3329 0.3329 Pt
0.4137 0.4137 0.9177 Pt
0.4137 0.9177 0.4137 Pt
0.5000 0.5000 0.5000 Pt
0.5863 0.0823 0.5863 Pt
0.5863 0.5863 0.0823 Pt
0.6671 0.6671 0.6671 Pt
0.9177 0.4137 0.4137 Pt
```

Main lines, by angle (2θ from 10° to 80°):
- 2θ 19.2, intensity 15.2
- 2θ 32.6, intensity 16.0
- 2θ 33.0, intensity 21.0
- 2θ 38.4, intensity 30.9
- 2θ 38.7, intensity 100.0
- 2θ 38.9, intensity 14.8
- 2θ 40.0, intensity 28.5
- 2θ 41.9, intensity 37.1
- 2θ 62.8, intensity 24.8
- 2θ 69.2, intensity 26.0



# HfZnGe
Calculated powder diffractogram, Cu Kα, 1.54184 Å. Input: DFT lattice parameters and positions (PBE).
Intensities are scaled so that the largest is 100.

Cell and atoms:
```
HfZnGe
1.0
3.8539 0.0000 0.0000
0.0000 14.7745 0.0000
0.0000 0.0000 3.8027
Hf Zn Ge
4 4 4
direct
0.0000 0.0888 0.2500 Hf
0.0000 0.9112 0.7500 Hf
0.5000 0.4112 0.7500 Hf
0.5000 0.5888 0.2500 Hf
0.0000 0.2483 0.7500 Zn
0.0000 0.7517 0.2500 Zn
0.5000 0.2517 0.2500 Zn
0.5000 0.7483 0.7500 Zn
0.0000 0.4258 0.2500 Ge
0.0000 0.5742 0.7500 Ge
0.5000 0.0742 0.7500 Ge
0.5000 0.9258 0.2500 Ge
```

Main lines, by angle (2θ from 10° to 80°):
- 2θ 12.0, intensity 9.8
- 2θ 23.9, intensity 10.7
- 2θ 26.4, intensity 11.4
- 2θ 36.5, intensity 26.7
- 2θ 37.9, intensity 100.0
- 2θ 47.2, intensity 13.6
- 2θ 47.8, intensity 13.0
- 2θ 61.1, intensity 11.8
- 2θ 61.6, intensity 11.5
- 2θ 66.6, intensity 16.9



# Sm2Ag3
Calculated powder diffractogram, Cu Kα, 1.54184 Å. Input: DFT lattice parameters and positions (PBE).
Intensities are scaled so that the largest is 100.

Cell and atoms:
```
Sm2Ag3
1.0
-5.1292 5.1292 5.1292
5.1292 -5.1292 5.1292
5.1292 5.1292 -5.1292
Sm Ag
8 12
direct
0.0000 0.4227 0.5000 Sm
0.0000 0.9227 0.5000 Sm
0.0773 0.0773 0.0773 Sm
0.4227 0.5000 0.0000 Sm
0.5000 0.0000 0.4227 Sm
0.5000 0.0000 0.9227 Sm
0.5773 0.5773 0.5773 Sm
0.9227 0.5000 0.0000 Sm
0.0094 0.2594 0.7500 Ag
0.2406 0.2500 0.4906 Ag
0.2500 0.4906 0.2406 Ag
0.2500 0.7594 0.5094 Ag
0.2594 0.7500 0.0094 Ag
0.4906 0.2406 0.2500 Ag
0.5094 0.2500 0.7594 Ag
0.7406 0.9906 0.7500 Ag
0.7500 0.0094 0.2594 Ag
0.7500 0.7406 0.9906 Ag
0.7594 0.5094 0.2500 Ag
0.9906 0.7500 0.7406 Ag
```

Main lines, by angle (2θ from 10° to 80°):
- 2θ 21.2, intensity 18.5
- 2θ 24.5, intensity 22.9
- 2θ 27.5, intensity 29.2
- 2θ 32.7, intensity 100.0
- 2θ 35.0, intensity 80.2
- 2θ 41.3, intensity 57.1
- 2θ 45.1, intensity 24.4
- 2θ 50.3, intensity 39.7
- 2θ 67.0, intensity 32.4
- 2θ 72.6, intensity 26.7



# BeZnH2S
Calculated powder diffractogram, Cu Kα, 1.54184 Å. Input: DFT lattice parameters and positions (PBE).
Intensities are scaled so that the largest is 100.

Cell and atoms:
```
BeZnH2S
1.0
6.7303 0.0000 0.0000
0.0000 3.9766 0.0000
-2.6805 0.0000 5.2358
Be Zn H S
2 2 4 2
direct
0.0000 0.0000 0.0000 Be
0.5000 0.5000 0.0000 Be
0.4340 0.5000 0.5197 Zn
0.9340 0.0000 0.5197 Zn
0.0977 0.0000 0.8324 H
0.2773 0.5000 0.9275 H
0.5977 0.5000 0.8324 H
0.7773 0.0000 0.9275 H
0.2147 0.0000 0.3796 S
0.7147 0.5000 0.3796 S
```

Main lines, by angle (2θ from 10° to 80°):
- 2θ 16.9, intensity 100.0
- 2θ 26.7, intensity 20.9
- 2θ 26.9, intensity 57.1
- 2θ 33.7, intensity 22.1
- 2θ 34.3, intensity 14.4
- 2θ 35.5, intensity 32.4
- 2θ 45.6, intensity 12.3
- 2θ 46.6, intensity 19.9
- 2θ 48.7, intensity 15.9
- 2θ 49.5, intensity 18.2



# Ac5Pd2RuO
Calculated powder diffractogram, Cu Kα, 1.54184 Å. Input: DFT lattice parameters and positions (PBE).
Intensities are scaled so that the largest is 100.

Cell and atoms:
```
Ac5Pd2RuO
1.0
2.1669 -9.2428 0.0000
2.1669 9.2428 0.0000
0.0000 0.0000 13.4781
Ac Pd Ru O
10 4 2 2
direct
0.0046 0.9954 0.5000 Ac
0.1468 0.8532 0.7505 Ac
0.1896 0.8104 0.1194 Ac
0.2107 0.7893 0.4168 Ac
0.4604 0.5396 0.7407 Ac
0.5396 0.4604 0.2407 Ac
0.7893 0.2107 0.9168 Ac
0.8104 0.1896 0.6194 Ac
0.8532 0.1468 0.2505 Ac
0.9954 0.0046 0.0000 Ac
0.3771 0.6229 0.0678 Pd
0.3963 0.6037 0.4176 Pd
0.6037 0.3963 0.9176 Pd
0.6229 0.3771 0.5678 Pd
0.3012 0.6988 0.7709 Ru
0.6988 0.3012 0.2709 Ru
0.0512 0.9488 0.1588 O
0.9488 0.0512 0.6588 O
```

Main lines, by angle (2θ from 10° to 80°):
- 2θ 27.7, intensity 27.9
- 2θ 28.2, intensity 18.0
- 2θ 28.4, intensity 32.3
- 2θ 29.0, intensity 100.0
- 2θ 29.7, intensity 37.9
- 2θ 31.8, intensity 20.3
- 2θ 34.6, intensity 33.7
- 2θ 41.7, intensity 25.7
- 2θ 48.6, intensity 19.1
- 2θ 52.0, intensity 16.7



# MnNi6Rh
Calculated powder diffractogram, Cu Kα, 1.54184 Å. Input: DFT lattice parameters and positions (PBE).
Intensities are scaled so that the largest is 100.

Cell and atoms:
```
MnNi6Rh
1.0
3.5978 -5.0960 0.0000
3.5978 5.0960 0.0000
0.0000 0.0000 10.2064
Mn Ni Rh
4 24 4
direct
0.0000 0.0000 0.2474 Mn
0.0000 0.0000 0.7526 Mn
0.2494 0.7506 0.0000 Mn
0.7506 0.2494 0.0000 Mn
0.0000 0.0000 0.0000 Ni
0.0000 0.0000 0.5000 Ni
0.1237 0.3729 0.3729 Ni
0.1237 0.3729 0.6271 Ni
0.1236 0.3746 0.1237 Ni
0.1236 0.3746 0.8763 Ni
0.2496 0.7504 0.2489 Ni
0.2496 0.7504 0.7511 Ni
0.3729 0.1237 0.3729 Ni
0.3729 0.1237 0.6271 Ni
0.3746 0.1236 0.1237 Ni
0.3746 0.1236 0.8763 Ni
0.5000 0.5000 0.0000 Ni
0.5000 0.5000 0.5000 Ni
0.6254 0.8764 0.1237 Ni
0.6254 0.8764 0.8763 Ni
0.6271 0.8763 0.3729 Ni
0.6271 0.8763 0.6271 Ni
0.7504 0.2496 0.2489 Ni
0.7504 0.2496 0.7511 Ni
0.8764 0.6254 0.1237 Ni
0.8764 0.6254 0.8763 Ni
0.8763 0.6271 0.3729 Ni
0.8763 0.6271 0.6271 Ni
0.2486 0.7514 0.5000 Rh
0.5000 0.5000 0.2491 Rh
0.5000 0.5000 0.7509 Rh
0.7514 0.2486 0.5000 Rh
```

Main lines, by angle (2θ from 10° to 80°):
- 2θ 15.1, intensity 1.2
- 2θ 23.1, intensity 1.1
- 2θ 24.7, intensity 1.2
- 2θ 31.7, intensity 0.8
- 2θ 35.2, intensity 0.9
- 2θ 43.5, intensity 100.0
- 2θ 50.6, intensity 31.2
- 2θ 50.8, intensity 15.5
- 2θ 74.4, intensity 4.6
- 2θ 74.5, intensity 22.7